Theoretical powder diffraction line list
Compound: Te
Radiation: Cu Ka
Structure: a crystal structure in the Materials Project, relaxed with GGA-PBE
Lines closer than 0.1° are merged.

```
Te
1.0
3.1975 0.0000 0.0000
0.0000 3.1975 0.0000
0.0000 0.0000 3.1975
Te
1
direct
0.0000 0.0000 0.0000
```

Principal peaks in the range 2θ = 10–90°, by intensity:
2θ = 27.9°, intensity 100, (1 0 0)
2θ = 39.9°, intensity 76, (1 1 0)
2θ = 65.2°, intensity 35, (2 1 0)
2θ = 49.4°, intensity 27, (1 1 1)
2θ = 72.4°, intensity 26, (2 1 1)
2θ = 57.7°, intensity 13, (2 0 0)
2θ = 86.0°, intensity 8, (2 2 0)